1.
# SmDySi2Os
Simulated XRD peak list, λ = 1.5418 Å (Cu Kα). Input: a PBE-relaxed structure.
Lines closer than 0.1° are merged.

Largest 10 diffraction maxima, sorted by position, 10° ≤ 2θ ≤ 80°:
- 2θ 23.0, I 23
- 2θ 27.4, I 36
- 2θ 32.6, I 22
- 2θ 33.0, I 41
- 2θ 33.8, I 100
- 2θ 36.5, I 48
- 2θ 40.8, I 30
- 2θ 42.6, I 34
- 2θ 55.6, I 27
- 2θ 58.9, I 25

Crystal structure
```
data_SmDySi2Os
_space_group_name_H-M_alt 'C 1 2/m 1'
_space_group_IT_number 12
_space_group_name_Hall '-C 2y'
_cell_length_a 10.9330
_cell_length_b 4.2401
_cell_length_c 10.1374
_cell_angle_alpha 90.00
_cell_angle_beta 119.82
_cell_angle_gamma 90.00
loop_
_atom_site_label
_atom_site_fract_x
_atom_site_fract_y
_atom_site_fract_z
Sm1 0.0126 0.0000 0.1814
Dy1 0.1824 0.0000 0.6099
Si1 0.9997 0.5000 0.3756
Si2 0.1503 0.5000 0.0623
Os1 0.2274 0.5000 0.8731
```

=====

2.
# Ho2O
Simulated XRD peak list, λ = 1.5418 Å (Cu Kα). Input: a PBE-relaxed structure.
Lines closer than 0.1° are merged.

Largest 10 diffraction maxima, sorted by position, 10° ≤ 2θ ≤ 80°:
- 2θ 31.2, I 47
- 2θ 33.8, I 100
- 2θ 35.0, I 23
- 2θ 44.7, I 17
- 2θ 52.1, I 11
- 2θ 54.7, I 16
- 2θ 57.2, I 25
- 2θ 62.0, I 14
- 2θ 64.3, I 20
- 2θ 67.3, I 11

Crystal structure
```
data_Ho2O
_space_group_name_H-M_alt 'P 42/m n m'
_space_group_IT_number 136
_space_group_name_Hall '-P 4n 2n'
_cell_length_a 5.7356
_cell_length_b 5.7356
_cell_length_c 3.5104
_cell_angle_alpha 90.00
_cell_angle_beta 90.00
_cell_angle_gamma 90.00
loop_
_atom_site_label
_atom_site_fract_x
_atom_site_fract_y
_atom_site_fract_z
Ho1 0.2092 0.2092 0.0000
O1 0.0000 0.0000 0.5000
```

=====

3.
# Pm2GeO4
Simulated XRD peak list, λ = 1.5418 Å (Cu Kα). Input: a PBE-relaxed structure.
Lines closer than 0.1° are merged.

Largest 10 diffraction maxima, sorted by position, 10° ≤ 2θ ≤ 80°:
- 2θ 15.7, I 41
- 2θ 25.7, I 11
- 2θ 30.2, I 100
- 2θ 31.6, I 39
- 2θ 36.7, I 30
- 2θ 48.2, I 39
- 2θ 52.8, I 47
- 2θ 62.1, I 13
- 2θ 62.9, I 19
- 2θ 74.3, I 22

Crystal structure
a b c (Å): 9.8020 9.8020 9.8020
angles (deg): 90.00 90.00 90.00
Space group Fd-3m (No. 227, origin choice 2)
Inequivalent atoms, fractional coordinates:
Pm 0.0000 0.0000 0.0000 [16 per cell]
Ge 0.1250 0.1250 0.6250 [8 per cell]
O 0.0093 0.0093 0.2407 [32 per cell]

=====

4.
# KNdH2S2O9
Simulated XRD peak list, λ = 1.5418 Å (Cu Kα). Input: a PBE-relaxed structure.
Lines closer than 0.1° are merged.

Largest 10 diffraction maxima, sorted by position, 10° ≤ 2θ ≤ 80°:
- 2θ 14.7, I 68
- 2θ 14.8, I 100
- 2θ 20.6, I 27
- 2θ 21.9, I 27
- 2θ 26.1, I 25
- 2θ 27.9, I 56
- 2θ 28.4, I 51
- 2θ 29.6, I 68
- 2θ 34.7, I 26
- 2θ 35.4, I 23

Crystal structure
```
data_KNdH2S2O9
_space_group_name_H-M_alt 'P 1 21/c 1'
_space_group_IT_number 14
_space_group_name_Hall '-P 2ybc'
_cell_length_a 9.9887
_cell_length_b 8.1077
_cell_length_c 10.1453
_cell_angle_alpha 90.00
_cell_angle_beta 117.73
_cell_angle_gamma 90.00
loop_
_atom_site_label
_atom_site_fract_x
_atom_site_fract_y
_atom_site_fract_z
K1 0.2149 0.1801 0.1890
Nd1 0.2661 0.6641 0.0427
H1 0.2566 0.5087 0.4094
H2 0.3905 0.0168 0.0750
S1 0.0396 0.6437 0.1752
S2 0.4846 0.6994 0.8993
O1 0.0473 0.7321 0.5710
O2 0.0571 0.7222 0.3131
O3 0.1085 0.0599 0.3948
O4 0.1673 0.5249 0.2089
O5 0.2884 0.5327 0.5158
O6 0.3326 0.6186 0.8316
O7 0.3991 0.0943 0.6078
O8 0.4717 0.6489 0.3105
O9 0.4771 0.2423 0.4449
```